Entry 1:
Starting from a DFT-relaxed cell (GGA-PBE, Alexandria), the XRD peak list of CrPd8Au2 was calculated for CuKα.
Peak positions follow from Bragg's law for the DFT cell and can differ from measured ones.

Principal peaks in the range 10° ≤ 2θ ≤ 90°, sorted by position:
d = 6.872 Å, I = 7; d = 6.064 Å, I = 3; d = 3.132 Å, I = 3; d = 2.907 Å, I = 4; d = 2.294 Å, I = 100; d = 1.993 Å, I = 33; d = 1.974 Å, I = 16; d = 1.409 Å, I = 10; d = 1.402 Å, I = 20; d = 1.201 Å, I = 24; d = 1.192 Å, I = 12; d = 1.147 Å, I = 11

Structural model:
Cell: 7.411 7.411 6.299 Å, 105.10 105.10 31.19°
Fractional positions:
Cr 0.000 0.000 0.000
Pd 0.087 0.087 0.444
Pd 0.178 0.178 0.909
Pd 0.369 0.369 0.828
Pd 0.456 0.456 0.271
Pd 0.544 0.544 0.729
Pd 0.631 0.631 0.172
Pd 0.822 0.822 0.091
Pd 0.913 0.913 0.556
Au 0.274 0.274 0.361
Au 0.726 0.726 0.639

Entry 2:
Starting from a DFT-relaxed cell (GGA-PBE, Alexandria), the XRD peak list of GdYZnRh was calculated for CuKα.
Peak positions follow from Bragg's law for the DFT cell and can differ from measured ones.

Principal peaks in the range 10° ≤ 2θ ≤ 90°, sorted by position:
d = 4.058 Å, I = 7; d = 3.514 Å, I = 3; d = 2.485 Å, I = 100; d = 2.119 Å, I = 4; d = 1.757 Å, I = 17; d = 1.612 Å, I = 2; d = 1.572 Å, I = 1; d = 1.435 Å, I = 35; d = 1.353 Å, I = 1; d = 1.242 Å, I = 11; d = 1.188 Å, I = 1; d = 1.111 Å, I = 15

Structural model:
Cell: 4.970 4.970 4.970 Å, 60.00 60.00 60.00°
Fractional positions:
Gd 0.000 0.000 0.000
Y 0.500 0.500 0.500
Zn 0.750 0.750 0.750
Rh 0.250 0.250 0.250

Entry 3:
Starting from a DFT-relaxed cell (GGA-PBE, Alexandria), the XRD peak list of Tb2CuPbS4 was calculated for CuKα.
Peak positions follow from Bragg's law for the DFT cell and can differ from measured ones.

Principal peaks in the range 10° ≤ 2θ ≤ 90°, sorted by position:
d = 3.775 Å, I = 100; d = 3.301 Å, I = 50; d = 3.284 Å, I = 71; d = 2.853 Å, I = 59; d = 2.686 Å, I = 99; d = 2.220 Å, I = 37; d = 2.005 Å, I = 28; d = 1.986 Å, I = 33; d = 1.946 Å, I = 28; d = 1.888 Å, I = 29; d = 1.485 Å, I = 26; d = 1.355 Å, I = 27

Structural model:
Cell: 6.883 6.883 13.806 Å, 90.00 90.00 147.16°
Fractional positions:
Tb 0.131 0.869 0.561
Tb 0.131 0.869 0.939
Tb 0.869 0.131 0.061
Tb 0.869 0.131 0.439
Cu 0.338 0.662 0.250
Cu 0.662 0.338 0.750
Pb 0.381 0.619 0.750
Pb 0.619 0.381 0.250
S 0.059 0.941 0.750
S 0.227 0.773 0.117
S 0.227 0.773 0.383
S 0.500 0.500 0.000
S 0.500 0.500 0.500
S 0.773 0.227 0.617
S 0.773 0.227 0.883
S 0.941 0.059 0.250

Entry 4:
Starting from a DFT-relaxed cell (GGA-PBE, Alexandria), the XRD peak list of Tm6CoPb2 was calculated for CuKα.
Peak positions follow from Bragg's law for the DFT cell and can differ from measured ones.

Principal peaks in the range 10° ≤ 2θ ≤ 90°, sorted by position:
d = 2.870 Å, I = 100; d = 2.499 Å, I = 20; d = 2.479 Å, I = 40; d = 1.760 Å, I = 29; d = 1.753 Å, I = 14; d = 1.505 Å, I = 15; d = 1.496 Å, I = 29; d = 1.435 Å, I = 15; d = 1.142 Å, I = 12; d = 1.116 Å, I = 7; d = 1.110 Å, I = 7; d = 1.108 Å, I = 7

Structural model:
Cell: 7.011 7.011 9.995 Å, 90.00 90.00 90.00°
Fractional positions:
Tm 0.000 0.000 0.249
Tm 0.000 0.000 0.751
Tm 0.248 0.250 0.000
Tm 0.250 0.252 0.500
Tm 0.250 0.752 0.000
Tm 0.252 0.750 0.500
Tm 0.500 0.500 0.251
Tm 0.500 0.500 0.749
Tm 0.748 0.250 0.500
Tm 0.750 0.248 0.000
Tm 0.750 0.748 0.500
Tm 0.752 0.750 0.000
Co 0.000 0.000 0.500
Co 0.500 0.500 0.000
Pb 0.000 0.500 0.250
Pb 0.000 0.500 0.750
Pb 0.500 0.000 0.250
Pb 0.500 0.000 0.750

Entry 5:
Starting from a DFT-relaxed cell (GGA-PBE, Alexandria), the XRD peak list of CaZnGa2Ag was calculated for CuKα.
Peak positions follow from Bragg's law for the DFT cell and can differ from measured ones.

Principal peaks in the range 10° ≤ 2θ ≤ 90°, sorted by position:
d = 5.433 Å, I = 37; d = 4.020 Å, I = 30; d = 2.777 Å, I = 33; d = 2.666 Å, I = 100; d = 2.164 Å, I = 63; d = 2.031 Å, I = 61; d = 1.942 Å, I = 20; d = 1.707 Å, I = 14; d = 1.530 Å, I = 20; d = 1.445 Å, I = 15; d = 1.327 Å, I = 20; d = 1.222 Å, I = 22

Structural model:
Cell: 6.235 6.235 6.235 Å, 139.40 139.40 58.77°
Fractional positions:
Ca 0.000 0.000 0.000
Zn 0.250 0.750 0.500
Ga 0.385 0.385 0.000
Ga 0.615 0.615 0.000
Ag 0.750 0.250 0.500

Entry 6:
Starting from a DFT-relaxed cell (GGA-PBE, Alexandria), the XRD peak list of Tb3Ir2 was calculated for CuKα.
Peak positions follow from Bragg's law for the DFT cell and can differ from measured ones.

Principal peaks in the range 10° ≤ 2θ ≤ 90°, sorted by position:
d = 3.879 Å, I = 54; d = 2.925 Å, I = 57; d = 2.889 Å, I = 59; d = 2.800 Å, I = 93; d = 2.503 Å, I = 100; d = 2.459 Å, I = 46; d = 2.420 Å, I = 30; d = 2.041 Å, I = 27; d = 1.986 Å, I = 43; d = 1.982 Å, I = 28; d = 1.974 Å, I = 48; d = 1.400 Å, I = 32

Structural model:
Cell: 6.784 6.784 9.679 Å, 90.00 90.00 145.95°
Fractional positions:
Tb 0.100 0.900 0.750
Tb 0.356 0.644 0.562
Tb 0.356 0.644 0.938
Tb 0.644 0.356 0.062
Tb 0.644 0.356 0.438
Tb 0.900 0.100 0.250
Ir 0.000 0.000 0.000
Ir 0.000 0.000 0.500
Ir 0.243 0.757 0.250
Ir 0.757 0.243 0.750

Entry 7:
Starting from a DFT-relaxed cell (GGA-PBE, Alexandria), the XRD peak list of LiNiRh2 was calculated for CuKα.
Peak positions follow from Bragg's law for the DFT cell and can differ from measured ones.

Principal peaks in the range 10° ≤ 2θ ≤ 90°, sorted by position:
d = 3.772 Å, I = 6; d = 3.296 Å, I = 50; d = 2.136 Å, I = 100; d = 2.074 Å, I = 14; d = 1.886 Å, I = 17; d = 1.832 Å, I = 31; d = 1.602 Å, I = 12; d = 1.373 Å, I = 7; d = 1.314 Å, I = 20; d = 1.296 Å, I = 9; d = 1.131 Å, I = 12; d = 1.108 Å, I = 23

Structural model:
Cell: 4.577 4.577 4.577 Å, 132.80 132.80 68.98°
Fractional positions:
Li 0.000 0.000 0.000
Ni 0.250 0.750 0.500
Rh 0.500 0.500 0.000
Rh 0.750 0.250 0.500

Entry 8:
Starting from a DFT-relaxed cell (GGA-PBE, Alexandria), the XRD peak list of TlP2Pd8 was calculated for CuKα.
Peak positions follow from Bragg's law for the DFT cell and can differ from measured ones.

Principal peaks in the range 10° ≤ 2θ ≤ 90°, sorted by position:
d = 2.742 Å, I = 38; d = 2.491 Å, I = 50; d = 2.304 Å, I = 100; d = 2.182 Å, I = 31; d = 2.172 Å, I = 40; d = 2.003 Å, I = 24; d = 1.932 Å, I = 11; d = 1.717 Å, I = 10; d = 1.644 Å, I = 10; d = 1.433 Å, I = 14; d = 1.370 Å, I = 14; d = 1.194 Å, I = 11

Structural model:
Cell: 6.590 6.590 4.463 Å, 97.80 97.80 111.43°
Fractional positions:
Tl 0.000 0.000 0.000
P 0.322 0.678 0.500
P 0.678 0.322 0.500
Pd 0.064 0.329 0.591
Pd 0.253 0.747 0.000
Pd 0.329 0.064 0.591
Pd 0.388 0.388 0.198
Pd 0.612 0.612 0.802
Pd 0.671 0.936 0.409
Pd 0.747 0.253 0.000
Pd 0.936 0.671 0.409

Entry 9:
Starting from a DFT-relaxed cell (GGA-PBE, Alexandria), the XRD peak list of PbCl2 was calculated for CuKα.
Peak positions follow from Bragg's law for the DFT cell and can differ from measured ones.

Principal peaks in the range 10° ≤ 2θ ≤ 90°, sorted by position:
d = 6.276 Å, I = 41; d = 4.316 Å, I = 81; d = 3.885 Å, I = 69; d = 3.695 Å, I = 57; d = 3.008 Å, I = 60; d = 2.879 Å, I = 40; d = 2.773 Å, I = 35; d = 2.556 Å, I = 27; d = 2.517 Å, I = 100; d = 2.092 Å, I = 27; d = 2.049 Å, I = 40; d = 1.825 Å, I = 35

Structural model:
Cell: 10.297 4.195 15.834 Å, 90.00 90.01 90.00°
Fractional positions:
Pb 0.159 0.238 0.330
Pb 0.159 0.262 0.830
Pb 0.341 0.247 0.580
Pb 0.341 0.253 0.080
Pb 0.659 0.747 0.920
Pb 0.659 0.753 0.420
Pb 0.841 0.738 0.170
Pb 0.841 0.762 0.670
Cl 0.047 0.242 0.164
Cl 0.047 0.258 0.664
Cl 0.199 0.749 0.993
Cl 0.199 0.751 0.493
Cl 0.301 0.742 0.243
Cl 0.301 0.758 0.743
Cl 0.453 0.249 0.414
Cl 0.453 0.251 0.914
Cl 0.547 0.749 0.086
Cl 0.547 0.751 0.586
Cl 0.699 0.242 0.257
Cl 0.699 0.258 0.757
Cl 0.801 0.249 0.507
Cl 0.801 0.251 0.007
Cl 0.953 0.742 0.336
Cl 0.953 0.758 0.836

Entry 10:
Starting from a DFT-relaxed cell (GGA-PBE, Alexandria), the XRD peak list of Ac3RuBr was calculated for CuKα.
Peak positions follow from Bragg's law for the DFT cell and can differ from measured ones.

Principal peaks in the range 10° ≤ 2θ ≤ 90°, sorted by position:
d = 8.766 Å, I = 95; d = 3.815 Å, I = 25; d = 3.203 Å, I = 96; d = 3.017 Å, I = 100; d = 2.996 Å, I = 58; d = 2.877 Å, I = 96; d = 2.707 Å, I = 43; d = 2.637 Å, I = 28; d = 2.120 Å, I = 26; d = 2.053 Å, I = 30; d = 1.728 Å, I = 43; d = 1.700 Å, I = 24

Structural model:
Cell: 4.105 10.323 8.766 Å, 90.00 90.00 90.00°
Fractional positions:
Ac 0.250 0.077 0.163
Ac 0.250 0.250 0.750
Ac 0.250 0.423 0.163
Ac 0.750 0.577 0.837
Ac 0.750 0.750 0.250
Ac 0.750 0.923 0.837
Ru 0.250 0.750 0.026
Ru 0.750 0.250 0.974
Br 0.250 0.750 0.565
Br 0.750 0.250 0.435

Entry 11:
Starting from a DFT-relaxed cell (GGA-PBE, Alexandria), the XRD peak list of Co3Bi3N5 was calculated for CuKα.
Peak positions follow from Bragg's law for the DFT cell and can differ from measured ones.

Principal peaks in the range 10° ≤ 2θ ≤ 90°, sorted by position:
d = 3.688 Å, I = 26; d = 3.320 Å, I = 14; d = 3.083 Å, I = 24; d = 2.904 Å, I = 48; d = 2.847 Å, I = 48; d = 2.752 Å, I = 100; d = 2.614 Å, I = 57; d = 2.538 Å, I = 32; d = 2.212 Å, I = 16; d = 1.834 Å, I = 15; d = 1.807 Å, I = 18; d = 1.511 Å, I = 17

Structural model:
Cell: 5.596 7.964 8.221 Å, 105.38 105.49 102.63°
Fractional positions:
Co 0.017 0.181 0.488
Co 0.122 0.467 0.221
Co 0.326 0.520 0.883
Co 0.674 0.480 0.117
Co 0.878 0.533 0.779
Co 0.983 0.819 0.512
Bi 0.197 0.987 0.882
Bi 0.344 0.851 0.263
Bi 0.399 0.658 0.626
Bi 0.601 0.342 0.374
Bi 0.656 0.149 0.737
Bi 0.803 0.013 0.118
N 0.031 0.345 0.705
N 0.169 0.717 0.933
N 0.206 0.367 0.413
N 0.217 0.028 0.489
N 0.368 0.509 0.123
N 0.632 0.491 0.877
N 0.783 0.972 0.511
N 0.794 0.633 0.587
N 0.831 0.283 0.067
N 0.969 0.655 0.295